# Tm2MnSiO6
Calculated PXRD pattern, copper Kα. Input: a DFT-relaxed cell (PBE+U, Alexandria).
No peak broadening, texture or thermal motion is included.

Structure:
```
data_Tm2MnSiO6
_cell_length_a 5.072
_cell_length_b 5.072
_cell_length_c 4.656
_cell_angle_alpha 90.00
_cell_angle_beta 90.00
_cell_angle_gamma 90.00
_symmetry_space_group_name_H-M 'P 4 m m'
_symmetry_Int_Tables_number 99
loop_
_symmetry_equiv_pos_as_xyz
'x,y,z'
'-y,x,z'
'-x,-y,z'
'y,-x,z'
'-x,y,z'
'y,x,z'
'x,-y,z'
'-y,-x,z'
loop_
_atom_site_label
_atom_site_type_symbol
_atom_site_fract_x
_atom_site_fract_y
_atom_site_fract_z
Tm1 Tm 0.000 0.500 0.000
Mn1 Mn 0.000 0.000 0.579
Si1 Si 0.500 0.500 0.598
O1 O 0.000 0.000 0.140
O2 O 0.269 0.269 0.716
O3 O 0.500 0.500 0.239
```

Largest 10 diffraction maxima, in order of rising 2θ, 10 to 80 degrees two-theta:
hkl  2θ/deg  I/Imax
0 0 1  19.1  397
1 1 0  24.8  257
1 1 1  31.5  1000
2 0 0  35.4  351
2 0 1  40.5  273
1 1 2  46.5  233
2 2 0  50.9  208
2 0 2  53.4  245
3 1 1  61.1  300
3 1 2  71.4  126